Starting from a cell relaxed with PBE+U, the X-ray powder pattern of CaNiO3 was computed for Cu Kα.

Largest 12 diffraction maxima, sorted by position, 10 to 90 degrees two-theta:
d (Å), two_theta, Rel. int.
4.499, 19.7, 100.0
3.279, 27.2, 16.7
2.598, 34.5, 64.1
2.114, 42.8, 46.3
2.036, 44.5, 42.0
1.761, 51.9, 8.9
1.700, 53.9, 9.0
1.640, 56.1, 39.5
1.500, 61.9, 10.9
1.386, 67.6, 26.1
1.299, 72.8, 15.6
1.107, 88.3, 10.6

Structure:
Unit cell a=5.195 b=5.195 c=4.789 alpha=90.00 beta=90.00 gamma=120.00
Fractional positions:
Ca  0.333  0.667  0.000
Ca  0.667  0.333  0.500
Ni  0.000  0.000  0.280
Ni  0.000  0.000  0.780
O  0.159  0.318  0.532
O  0.159  0.841  0.532
O  0.318  0.159  0.032
O  0.682  0.841  0.532
O  0.841  0.159  0.032
O  0.841  0.682  0.032